Structure and computed X-ray diffraction stick pattern of UCoSb2O8 (a structure optimized by DFT (GGA+U); Cu Kα (λ = 1.5418 Å)).
Lines closer than 0.1° are merged.

Atomic structure:
Lattice parameters (Å, degrees): 4.951 4.951 6.531 90.00 90.00 90.69
Fractional positions:
1 U 0.000 0.000 0.000
2 Co 0.000 0.000 0.500
3 Sb 0.500 0.500 0.260
4 Sb 0.500 0.500 0.740
5 O 0.198 0.198 0.243
6 O 0.198 0.198 0.757
7 O 0.308 0.692 0.500
8 O 0.316 0.684 0.000
9 O 0.684 0.316 0.000
10 O 0.692 0.308 0.500
11 O 0.802 0.802 0.243
12 O 0.802 0.802 0.757

Most intense lines, 10 to 80 degrees two-theta, most intense first:
2theta, I_rel
32.85, 1000
25.29, 641
25.60, 610
49.58, 430
49.93, 409
22.54, 343
36.29, 308
63.12, 251
13.56, 189
56.32, 139